# KO3
Calculated PXRD pattern, Cu Ka. Input: a crystal structure in Alexandria, relaxed with PBE.

Most intense lines, 10 to 90 degrees two-theta, low angle first:
20.11 deg, d = 4.415 Å, intensity 16
25.72 deg, d = 3.464 Å, intensity 37
28.60 deg, d = 3.122 Å, intensity 19
32.04 deg, d = 2.793 Å, intensity 100
38.12 deg, d = 2.360 Å, intensity 37
40.88 deg, d = 2.207 Å, intensity 28
45.97 deg, d = 1.974 Å, intensity 15
50.61 deg, d = 1.804 Å, intensity 12
52.86 deg, d = 1.732 Å, intensity 16
67.02 deg, d = 1.396 Å, intensity 15
68.92 deg, d = 1.363 Å, intensity 11
83.33 deg, d = 1.160 Å, intensity 11

Atomic structure:
a = 7.210 Å, b = 7.210 Å, c = 7.210 Å
α = 104.49°, β = 104.49°, γ = 119.96°
Fractional coordinates of all 16 atoms:
K1 0.250 0.250 0.000
K2 0.250 0.750 0.500
K3 0.750 0.250 0.500
K4 0.750 0.750 0.000
O1 0.066 0.749 0.815
O2 0.218 0.718 0.936
O3 0.249 0.566 0.815
O4 0.251 0.066 0.317
O5 0.282 0.218 0.500
O6 0.434 0.249 0.683
O7 0.566 0.751 0.317
O8 0.718 0.782 0.500
O9 0.749 0.934 0.683
O10 0.751 0.434 0.185
O11 0.782 0.282 0.064
O12 0.934 0.251 0.185

***

# Rb5TlHg6
Calculated PXRD pattern, Cu Ka. Input: a crystal structure in Alexandria, relaxed with PBE.

Most intense lines, 10 to 90 degrees two-theta, low angle first:
17.28 deg, d = 5.133 Å, intensity 94
24.41 deg, d = 3.647 Å, intensity 31
25.68 deg, d = 3.469 Å, intensity 45
27.38 deg, d = 3.257 Å, intensity 45
29.89 deg, d = 2.989 Å, intensity 55
31.62 deg, d = 2.830 Å, intensity 40
32.34 deg, d = 2.768 Å, intensity 100
36.15 deg, d = 2.485 Å, intensity 50
40.58 deg, d = 2.223 Å, intensity 30
42.93 deg, d = 2.107 Å, intensity 32
50.91 deg, d = 1.794 Å, intensity 34
51.63 deg, d = 1.770 Å, intensity 28

Atomic structure:
a = 10.125 Å, b = 10.125 Å, c = 6.897 Å
α = 101.23°, β = 101.23°, γ = 124.85°
Fractional coordinates of all 12 atoms:
Rb1 0.000 0.000 0.000
Rb2 0.193 0.807 0.500
Rb3 0.383 0.617 0.000
Rb4 0.617 0.383 0.000
Rb5 0.807 0.193 0.500
Tl1 0.500 0.500 0.500
Hg1 0.005 0.628 0.887
Hg2 0.189 0.189 0.583
Hg3 0.372 0.995 0.113
Hg4 0.628 0.005 0.887
Hg5 0.811 0.811 0.417
Hg6 0.995 0.372 0.113

***

# Tb3Cd2Au6
Calculated PXRD pattern, Cu Ka. Input: a crystal structure in Alexandria, relaxed with PBE.

Most intense lines, 10 to 90 degrees two-theta, low angle first:
12.63 deg, d = 7.010 Å, intensity 25
31.92 deg, d = 2.804 Å, intensity 18
32.64 deg, d = 2.743 Å, intensity 100
35.73 deg, d = 2.513 Å, intensity 24
35.84 deg, d = 2.506 Å, intensity 20
39.69 deg, d = 2.271 Å, intensity 84
42.90 deg, d = 2.108 Å, intensity 64
54.46 deg, d = 1.685 Å, intensity 17
59.02 deg, d = 1.565 Å, intensity 16
62.29 deg, d = 1.491 Å, intensity 21
72.12 deg, d = 1.310 Å, intensity 21
76.44 deg, d = 1.246 Å, intensity 25

Atomic structure:
a = 14.334 Å, b = 14.334 Å, c = 14.334 Å
α = 163.09°, β = 163.09°, γ = 24.01°
Fractional coordinates of all 11 atoms:
Tb1 0.000 0.000 0.000
Tb2 0.202 0.202 0.000
Tb3 0.798 0.798 0.000
Cd1 0.450 0.450 0.000
Cd2 0.550 0.550 0.000
Au1 0.117 0.617 0.500
Au2 0.309 0.309 0.000
Au3 0.383 0.883 0.500
Au4 0.617 0.117 0.500
Au5 0.691 0.691 0.000
Au6 0.883 0.383 0.500

***

# Be2CoPb
Calculated PXRD pattern, Cu Ka. Input: a crystal structure in Alexandria, relaxed with PBE.

Most intense lines, 10 to 90 degrees two-theta, low angle first:
19.69 deg, d = 4.510 Å, intensity 28
27.94 deg, d = 3.193 Å, intensity 100
30.24 deg, d = 2.956 Å, intensity 42
38.18 deg, d = 2.357 Å, intensity 44
39.98 deg, d = 2.255 Å, intensity 16
43.32 deg, d = 2.089 Å, intensity 42
47.95 deg, d = 1.897 Å, intensity 34
52.32 deg, d = 1.749 Å, intensity 15
56.41 deg, d = 1.631 Å, intensity 15
64.15 deg, d = 1.452 Å, intensity 24
77.12 deg, d = 1.237 Å, intensity 12
86.15 deg, d = 1.129 Å, intensity 12

Atomic structure:
a = 3.794 Å, b = 3.794 Å, c = 13.529 Å
α = 90.00°, β = 90.00°, γ = 120.00°
Fractional coordinates of all 12 atoms:
Be1 0.000 0.000 0.000
Be2 0.000 0.000 0.302
Be3 0.333 0.667 0.667
Be4 0.333 0.667 0.968
Be5 0.667 0.333 0.333
Be6 0.667 0.333 0.635
Co1 0.000 0.000 0.623
Co2 0.333 0.667 0.290
Co3 0.667 0.333 0.957
Pb1 0.000 0.000 0.817
Pb2 0.333 0.667 0.484
Pb3 0.667 0.333 0.151

***

# La3Pm3Sm8
Calculated PXRD pattern, Cu Ka. Input: a crystal structure in Alexandria, relaxed with PBE.

Most intense lines, 10 to 90 degrees two-theta, low angle first:
28.26 deg, d = 3.158 Å, intensity 12
28.86 deg, d = 3.094 Å, intensity 32
29.94 deg, d = 2.985 Å, intensity 34
30.77 deg, d = 2.905 Å, intensity 53
31.12 deg, d = 2.874 Å, intensity 100
32.73 deg, d = 2.736 Å, intensity 57
36.70 deg, d = 2.448 Å, intensity 13
43.47 deg, d = 2.082 Å, intensity 24
54.94 deg, d = 1.671 Å, intensity 20
55.98 deg, d = 1.643 Å, intensity 22
59.76 deg, d = 1.547 Å, intensity 14
60.95 deg, d = 1.520 Å, intensity 14

Atomic structure:
a = 9.931 Å, b = 9.931 Å, c = 9.931 Å
α = 145.98°, β = 112.95°, γ = 77.36°
Fractional coordinates of all 14 atoms:
La1 0.000 0.000 0.000
La2 0.184 0.684 0.500
La3 0.816 0.316 0.500
Pm1 0.200 0.500 0.700
Pm2 0.500 0.500 0.000
Pm3 0.800 0.500 0.300
Sm1 0.119 0.281 0.838
Sm2 0.236 0.897 0.339
Sm3 0.441 0.103 0.339
Sm4 0.442 0.281 0.162
Sm5 0.558 0.719 0.838
Sm6 0.559 0.897 0.661
Sm7 0.764 0.103 0.661
Sm8 0.881 0.719 0.162

***

# Ce2SmHoSb5
Calculated PXRD pattern, Cu Ka. Input: a crystal structure in Alexandria, relaxed with PBE.

Most intense lines, 10 to 90 degrees two-theta, low angle first:
23.36 deg, d = 3.808 Å, intensity 87
24.61 deg, d = 3.618 Å, intensity 32
28.03 deg, d = 3.183 Å, intensity 20
28.42 deg, d = 3.141 Å, intensity 20
30.84 deg, d = 2.899 Å, intensity 51
33.02 deg, d = 2.713 Å, intensity 40
33.27 deg, d = 2.693 Å, intensity 100
39.05 deg, d = 2.307 Å, intensity 33
46.00 deg, d = 1.973 Å, intensity 67
47.77 deg, d = 1.904 Å, intensity 36
57.95 deg, d = 1.592 Å, intensity 33
87.77 deg, d = 1.112 Å, intensity 21

Atomic structure:
a = 5.385 Å, b = 5.385 Å, c = 11.598 Å
α = 90.00°, β = 90.00°, γ = 90.00°
Fractional coordinates of all 9 atoms:
Ce1 0.000 0.000 0.214
Ce2 0.000 0.000 0.786
Sm1 0.500 0.500 0.000
Ho1 0.500 0.500 0.500
Sb1 0.000 0.000 0.500
Sb2 0.000 0.500 0.000
Sb3 0.500 0.000 0.000
Sb4 0.500 0.500 0.255
Sb5 0.500 0.500 0.745

***

# ScTl2Cu2Te4
Calculated PXRD pattern, Cu Ka. Input: a crystal structure in Alexandria, relaxed with PBE.

Most intense lines, 10 to 90 degrees two-theta, low angle first:
25.91 deg, d = 3.438 Å, intensity 43
27.26 deg, d = 3.271 Å, intensity 58
28.43 deg, d = 3.140 Å, intensity 66
28.57 deg, d = 3.124 Å, intensity 26
30.01 deg, d = 2.977 Å, intensity 53
30.24 deg, d = 2.956 Å, intensity 100
32.32 deg, d = 2.770 Å, intensity 24
32.69 deg, d = 2.739 Å, intensity 34
43.98 deg, d = 2.059 Å, intensity 36
47.73 deg, d = 1.906 Å, intensity 22
49.01 deg, d = 1.859 Å, intensity 32
54.18 deg, d = 1.693 Å, intensity 27

Atomic structure:
a = 7.955 Å, b = 7.955 Å, c = 8.501 Å
α = 108.04°, β = 108.04°, γ = 30.00°
Fractional coordinates of all 9 atoms:
Sc1 0.000 0.000 0.000
Tl1 0.131 0.131 0.560
Tl2 0.869 0.869 0.440
Cu1 0.313 0.313 0.010
Cu2 0.687 0.687 0.990
Te1 0.199 0.199 0.189
Te2 0.479 0.479 0.231
Te3 0.521 0.521 0.769
Te4 0.801 0.801 0.811

***

# Pm3Mg2Ga4
Calculated PXRD pattern, Cu Ka. Input: a crystal structure in Alexandria, relaxed with PBE.

Most intense lines, 10 to 90 degrees two-theta, low angle first:
22.14 deg, d = 4.014 Å, intensity 18
22.26 deg, d = 3.994 Å, intensity 33
32.29 deg, d = 2.772 Å, intensity 34
32.44 deg, d = 2.760 Å, intensity 64
32.58 deg, d = 2.748 Å, intensity 100
38.92 deg, d = 2.314 Å, intensity 68
39.13 deg, d = 2.302 Å, intensity 34
47.86 deg, d = 1.901 Å, intensity 15
51.60 deg, d = 1.771 Å, intensity 18
51.80 deg, d = 1.765 Å, intensity 17
66.64 deg, d = 1.403 Å, intensity 16
66.75 deg, d = 1.401 Å, intensity 16

Atomic structure:
a = 5.967 Å, b = 5.967 Å, c = 8.913 Å
α = 109.38°, β = 109.38°, γ = 45.39°
Fractional coordinates of all 9 atoms:
Pm1 0.000 0.000 0.000
Pm2 0.335 0.335 0.330
Pm3 0.665 0.665 0.670
Mg1 0.386 0.386 0.718
Mg2 0.614 0.614 0.282
Ga1 0.072 0.072 0.414
Ga2 0.300 0.300 0.971
Ga3 0.700 0.700 0.029
Ga4 0.928 0.928 0.586

***

# Pr3YTm2
Calculated PXRD pattern, Cu Ka. Input: a crystal structure in Alexandria, relaxed with PBE.

Most intense lines, 10 to 90 degrees two-theta, low angle first:
27.17 deg, d = 3.282 Å, intensity 54
27.45 deg, d = 3.249 Å, intensity 36
30.29 deg, d = 2.951 Å, intensity 100
30.63 deg, d = 2.919 Å, intensity 97
31.45 deg, d = 2.845 Å, intensity 85
34.04 deg, d = 2.634 Å, intensity 80
35.82 deg, d = 2.507 Å, intensity 57
37.45 deg, d = 2.402 Å, intensity 33
53.13 deg, d = 1.724 Å, intensity 33
55.03 deg, d = 1.669 Å, intensity 34
61.63 deg, d = 1.505 Å, intensity 30
63.04 deg, d = 1.475 Å, intensity 32

Atomic structure:
a = 9.907 Å, b = 3.499 Å, c = 12.359 Å
α = 90.00°, β = 107.24°, γ = 90.00°
Fractional coordinates of all 12 atoms:
Pr1 0.075 0.250 0.394
Pr2 0.123 0.750 0.135
Pr3 0.197 0.750 0.875
Pr4 0.803 0.250 0.125
Pr5 0.877 0.250 0.865
Pr6 0.925 0.750 0.606
Y1 0.311 0.750 0.636
Y2 0.689 0.250 0.364
Tm1 0.397 0.750 0.386
Tm2 0.484 0.750 0.122
Tm3 0.516 0.250 0.878
Tm4 0.603 0.250 0.614

***

# Na2Cu2OsO6
Calculated PXRD pattern, Cu Ka. Input: a crystal structure in Alexandria, relaxed with PBE.

Most intense lines, 10 to 90 degrees two-theta, low angle first:
14.50 deg, d = 6.108 Å, intensity 100
18.52 deg, d = 4.790 Å, intensity 30
23.61 deg, d = 3.769 Å, intensity 100
32.38 deg, d = 2.765 Å, intensity 66
34.84 deg, d = 2.575 Å, intensity 71
35.64 deg, d = 2.519 Å, intensity 44
40.46 deg, d = 2.230 Å, intensity 17
48.29 deg, d = 1.885 Å, intensity 32
48.59 deg, d = 1.874 Å, intensity 18
52.74 deg, d = 1.736 Å, intensity 21
57.75 deg, d = 1.597 Å, intensity 20
59.35 deg, d = 1.557 Å, intensity 35

Atomic structure:
a = 5.531 Å, b = 5.531 Å, c = 6.108 Å
α = 90.00°, β = 90.00°, γ = 120.00°
Fractional coordinates of all 11 atoms:
Na1 0.333 0.667 0.311
Na2 0.667 0.333 0.689
Cu1 0.333 0.667 0.816
Cu2 0.667 0.333 0.184
Os1 0.000 0.000 0.000
O1 0.040 0.298 0.818
O2 0.258 0.960 0.818
O3 0.298 0.258 0.182
O4 0.702 0.742 0.818
O5 0.742 0.040 0.182
O6 0.960 0.702 0.182

***

# KRbHg2Cl6
Calculated PXRD pattern, Cu Ka. Input: a crystal structure in Alexandria, relaxed with PBE.

Most intense lines, 10 to 90 degrees two-theta, low angle first:
12.23 deg, d = 7.235 Å, intensity 34
17.54 deg, d = 5.056 Å, intensity 46
19.48 deg, d = 4.556 Å, intensity 18
19.93 deg, d = 4.455 Å, intensity 100
22.86 deg, d = 3.890 Å, intensity 52
24.12 deg, d = 3.689 Å, intensity 18
24.66 deg, d = 3.610 Å, intensity 21
30.78 deg, d = 2.905 Å, intensity 23
35.51 deg, d = 2.528 Å, intensity 22
35.85 deg, d = 2.505 Å, intensity 18
38.35 deg, d = 2.347 Å, intensity 28
40.77 deg, d = 2.213 Å, intensity 20

Atomic structure:
a = 10.145 Å, b = 10.145 Å, c = 7.546 Å
α = 98.79°, β = 98.79°, γ = 86.34°
Fractional coordinates of all 20 atoms:
K1 0.100 0.900 0.750
K2 0.900 0.100 0.250
Rb1 0.375 0.625 0.250
Rb2 0.625 0.375 0.750
Hg1 0.124 0.325 0.708
Hg2 0.325 0.124 0.208
Hg3 0.675 0.876 0.792
Hg4 0.876 0.675 0.292
Cl1 0.096 0.191 0.995
Cl2 0.105 0.653 0.442
Cl3 0.191 0.096 0.495
Cl4 0.314 0.456 0.835
Cl5 0.347 0.895 0.058
Cl6 0.456 0.314 0.335
Cl7 0.544 0.686 0.665
Cl8 0.653 0.105 0.942
Cl9 0.686 0.544 0.165
Cl10 0.809 0.904 0.505
Cl11 0.895 0.347 0.558
Cl12 0.904 0.809 0.005